This entry pairs a crystal structure of Tl2SnIO6 with its calculated X-ray diffraction stick pattern. Radiation: Cu Kα (λ = 1.5418 Å). Structure: a PBE-relaxed structure.
Lines closer than 0.1° are merged.

Cell and atoms:
Cell: 5.6193 5.6193 10.6586 Å, 90.00 90.00 90.00°
Space group I4mm (No. 107)
One atom of each set of equivalent atoms:
1 Tl 0.0000 0.5000 0.0000 x4
2 Sn 0.0000 0.0000 0.2439 x2
3 I 0.0000 0.0000 0.7830 x2
4 O 0.0000 0.0000 0.0580 x2
5 O 0.0000 0.0000 0.6118 x2
6 O 0.2468 0.2468 0.3096 x8

Principal peaks in the range 2θ from 15° to 90°, most intense first:
2theta, Rel. int.
28.01, 100
31.85, 35
54.43, 33
47.00, 22
45.66, 19
75.70, 17
33.63, 15
57.90, 13